Calculated powder diffraction line list
Compound: CsH5N2
Radiation: Cu Ka
Structure: a DFT-relaxed cell (GGA-PBE, the Materials Project)
Lines closer than 0.1° are merged.

Cell and atoms:
abc: 7.0487 5.7324 10.2828
angles: 90.00 90.00 90.00
Space group Pnma (No. 62)
One atom of each set of equivalent atoms:
1 Cs 0.2047 0.2500 0.0838 [4 per cell]
2 H 0.0947 0.6004 0.3116 [8 per cell]
3 H 0.1123 0.2500 0.4789 [4 per cell]
4 H 0.2331 0.2500 0.7470 [4 per cell]
5 H 0.2342 0.7500 0.8643 [4 per cell]
6 N 0.1207 0.2500 0.3788 [4 per cell]
7 N 0.1215 0.7500 0.2563 [4 per cell]

Most intense lines, 2θ = 10–90°, most intense first:
- hkl 1 1 1, 21.8 deg, I = 100
- hkl 0 1 3, 30.4 deg, I = 56
- hkl 1 0 2, 21.4 deg, I = 47
- hkl 0 1 1, 17.7 deg, I = 28
- hkl 0 2 0, 31.2 deg, I = 27
- hkl 2 1 3, 39.9 deg, I = 25

Calculated powder diffraction line list
Compound: CsH5N2
Radiation: Cu Ka
Structure: a DFT-relaxed cell (GGA-PBE, the Materials Project)
Lines closer than 0.1° are merged.

Cell and atoms:
abc: 8.5837 5.2371 10.2088
angles: 90.00 90.00 90.00
Space group Pnma (No. 62)
One atom of each set of equivalent atoms:
1 Cs 0.2424 0.2500 0.0767 [4 per cell]
2 H 0.0667 0.5885 0.2850 [8 per cell]
3 H 0.0895 0.2500 0.7618 [4 per cell]
4 H 0.1085 0.2500 0.4635 [4 per cell]
5 H 0.2390 0.7500 0.8727 [4 per cell]
6 N 0.0300 0.7500 0.2328 [4 per cell]
7 N 0.1414 0.2500 0.3664 [4 per cell]

Most intense lines, 2θ = 10–90°, most intense first:
- hkl 1 1 1, 21.7 deg, I = 100
- hkl 1 0 2, 20.2 deg, I = 46
- hkl 0 1 3, 31.3 deg, I = 44
- hkl 2 0 0, 20.7 deg, I = 35
- hkl 3 1 1, 36.9 deg, I = 33
- hkl 2 1 3, 37.9 deg, I = 30

Calculated powder diffraction line list
Compound: CsH4NO
Radiation: Cu Ka
Structure: a DFT-relaxed cell (GGA-PBE, the Materials Project)
Lines closer than 0.1° are merged.

Cell and atoms:
abc: 4.4940 18.9248 8.4521
angles: 90.00 92.71 90.00
Space group P2_1/c (No. 14)
One atom of each set of equivalent atoms:
1 Cs 0.2413 0.2190 0.4241 [4 per cell]
2 Cs 0.2457 0.0604 0.8416 [4 per cell]
3 H 0.0420 0.5617 0.0747 [4 per cell]
4 H 0.1565 0.0769 0.1937 [4 per cell]
5 H 0.2430 0.7052 0.3402 [4 per cell]
6 H 0.2453 0.6653 0.5144 [4 per cell]
7 H 0.2526 0.5362 0.9318 [4 per cell]
8 H 0.2622 0.6665 0.8101 [4 per cell]
9 H 0.3583 0.6222 0.3546 [4 per cell]
10 H 0.4036 0.5672 0.0995 [4 per cell]
11 N 0.2008 0.6571 0.3940 [4 per cell]
12 N 0.2297 0.5751 0.0156 [4 per cell]
13 O 0.2973 0.0392 0.2231 [4 per cell]
14 O 0.3016 0.7018 0.7289 [4 per cell]

Most intense lines, 2θ = 10–90°, most intense first:
- hkl 0 1 2, 21.6 deg, I = 100
- hkl 1 0 2, 29.7 deg, I = 77
- hkl 1 1 0, 20.3 deg, I = 65
- hkl 0 5 2, 31.8 deg, I = 63
- hkl 1 5 0, 30.9 deg, I = 56
- hkl 1 4 -1, 29.0 deg, I = 56

Calculated powder diffraction line list
Compound: CsH2SNO3
Radiation: Cu Ka
Structure: a DFT-relaxed cell (GGA-PBE, the Materials Project)
Lines closer than 0.1° are merged.

Cell and atoms:
abc: 8.3231 7.6542 8.7232
angles: 90.00 115.27 90.00
Space group P2_1/c (No. 14)
One atom of each set of equivalent atoms:
1 Cs 0.1837 0.1460 0.4405 [4 per cell]
2 H 0.3566 0.6175 0.7357 [4 per cell]
3 H 0.4704 0.0075 0.1592 [4 per cell]
4 S 0.2713 0.6516 0.4551 [4 per cell]
5 N 0.3456 0.5374 0.6362 [4 per cell]
6 O 0.1016 0.7282 0.4339 [4 per cell]
7 O 0.2538 0.5191 0.3260 [4 per cell]
8 O 0.4036 0.7127 0.9686 [4 per cell]

Most intense lines, 2θ = 10–90°, most intense first:
- hkl 1 2 -1, 26.4 deg, I = 100
- hkl 2 0 0, 23.6 deg, I = 44
- hkl 0 0 2, 22.5 deg, I = 41
- hkl 2 0 -2, 24.8 deg, I = 39
- hkl 1 2 1, 30.5 deg, I = 27
- hkl 1 0 2, 29.7 deg, I = 22

Calculated powder diffraction line list
Compound: CsH2SNO3
Radiation: Cu Ka
Structure: a DFT-relaxed cell (GGA-PBE, the Materials Project)
Lines closer than 0.1° are merged.

Cell and atoms:
abc: 8.7022 6.7886 8.6861
angles: 90.00 90.00 90.00
Space group Pnma (No. 62)
One atom of each set of equivalent atoms:
1 Cs 0.1088 0.2500 0.0998 [4 per cell]
2 H 0.0023 0.1304 0.4682 [8 per cell]
3 S 0.1553 0.2500 0.6560 [4 per cell]
4 N 0.0028 0.7500 0.4600 [4 per cell]
5 O 0.1380 0.0677 0.7454 [8 per cell]
6 O 0.2068 0.7500 0.0581 [4 per cell]

Most intense lines, 2θ = 10–90°, most intense first:
- hkl 2 1 0, 24.3 deg, I = 100
- hkl 1 1 2, 26.4 deg, I = 88
- hkl 1 0 2, 22.9 deg, I = 61
- hkl 1 2 2, 35.1 deg, I = 51
- hkl 0 2 0, 26.3 deg, I = 46
- hkl 2 0 3, 37.3 deg, I = 43

Calculated powder diffraction line list
Compound: Cs2SnH12N6
Radiation: Cu Ka
Structure: a DFT-relaxed cell (GGA-PBE, the Materials Project)
Lines closer than 0.1° are merged.

Cell and atoms:
abc: 7.0364 7.0364 6.0020
angles: 90.00 90.00 120.00
Space group P-3 (No. 147)
One atom of each set of equivalent atoms:
1 Cs 0.3333 0.6667 0.2783 [2 per cell]
2 Sn 0.0000 0.0000 0.0000 [1 per cell]
3 H 0.1085 0.2579 0.6299 [6 per cell]
4 H 0.1443 0.7395 0.8340 [6 per cell]
5 N 0.0997 0.2971 0.7931 [6 per cell]

Most intense lines, 2θ = 10–90°, most intense first:
- hkl 0 1 1, 20.8 deg, I = 100
- hkl 1 1 0, 25.3 deg, I = 61
- hkl 2 0 1, 33.0 deg, I = 52
- hkl 1 2 1, 42.0 deg, I = 31
- hkl 1 0 2, 33.3 deg, I = 29
- hkl 2 1 2, 49.9 deg, I = 22